(1)
The following is a simulated PXRD pattern of Ho2Al4GaCu3. It was derived from DFT lattice parameters and positions (GGA-PBE), using Cu Kα.
No peak broadening, texture or thermal motion is included.

Structural model:
```
Ho2Al4GaCu3
1.0
4.1468 0.0000 0.0000
0.0000 4.1468 0.0000
0.0000 0.0000 10.2379
Ho Al Ga Cu
2 4 1 3
direct
0.0000 0.5000 0.2476 Ho
0.5000 0.0000 0.7524 Ho
0.0000 0.0000 0.0000 Al
0.0000 0.5000 0.6415 Al
0.5000 0.0000 0.3585 Al
0.5000 0.5000 0.0000 Al
0.0000 0.0000 0.5000 Ga
0.0000 0.5000 0.8711 Cu
0.5000 0.0000 0.1289 Cu
0.5000 0.5000 0.5000 Cu
```

The 12 most intense peaks (10 to 90 degrees two-theta), in order of rising 2θ:
23.14°, intensity 33
30.49°, intensity 26
34.02°, intensity 73
35.27°, intensity 100
43.65°, intensity 48
49.66°, intensity 30
56.47°, intensity 34
63.03°, intensity 14
63.45°, intensity 15
68.23°, intensity 23
74.02°, intensity 12
74.73°, intensity 22

(2)
The following is a simulated PXRD pattern of La2AlGa6Cu. It was derived from DFT lattice parameters and positions (GGA-PBE), using Cu Kα.
No peak broadening, texture or thermal motion is included.

Structural model:
```
La2AlGa6Cu
1.0
3.2262 1.8627 11.7645
-3.2262 1.8627 11.7645
0.0000 -3.7253 11.7645
La Al Ga Cu
4 2 12 2
direct
0.1220 0.1220 0.1220 La
0.2995 0.2995 0.2995 La
0.7005 0.7005 0.7005 La
0.8780 0.8780 0.8780 La
0.0000 0.0000 0.0000 Al
0.5000 0.5000 0.5000 Al
0.0516 0.6573 0.6573 Ga
0.2323 0.2323 0.6740 Ga
0.2323 0.6740 0.2323 Ga
0.3260 0.7677 0.7677 Ga
0.3427 0.3427 0.9484 Ga
0.3427 0.9484 0.3427 Ga
0.6573 0.0516 0.6573 Ga
0.6573 0.6573 0.0516 Ga
0.6740 0.2323 0.2323 Ga
0.7677 0.3260 0.7677 Ga
0.7677 0.7677 0.3260 Ga
0.9484 0.3427 0.3427 Ga
0.4321 0.4321 0.4321 Cu
0.5679 0.5679 0.5679 Cu
```

The 12 most intense peaks (10 to 90 degrees two-theta), in order of rising 2θ:
27.65°, intensity 45
29.94°, intensity 17
30.39°, intensity 63
32.44°, intensity 20
34.52°, intensity 100
36.78°, intensity 100
41.21°, intensity 25
46.63°, intensity 28
55.11°, intensity 24
57.10°, intensity 36
62.76°, intensity 15
66.06°, intensity 23

(3)
The following is a simulated PXRD pattern of SrAlGa2Cu. It was derived from DFT lattice parameters and positions (GGA-PBE), using Cu Kα.
No peak broadening, texture or thermal motion is included.

Structural model:
```
SrAlGa2Cu
1.0
-2.1375 2.1375 5.5336
2.1375 -2.1375 5.5336
2.1375 2.1375 -5.5336
Sr Al Ga Cu
1 1 2 1
direct
0.0000 0.0000 0.0000 Sr
0.2500 0.7500 0.5000 Al
0.3813 0.3813 0.0000 Ga
0.6187 0.6187 0.0000 Ga
0.7500 0.2500 0.5000 Cu
```

The 12 most intense peaks (10 to 90 degrees two-theta), in order of rising 2θ:
22.29°, intensity 16
29.55°, intensity 35
32.05°, intensity 100
33.79°, intensity 99
42.28°, intensity 75
44.39°, intensity 28
46.18°, intensity 48
54.02°, intensity 44
61.33°, intensity 24
64.39°, intensity 35
71.89°, intensity 20
83.18°, intensity 19

(4)
The following is a simulated PXRD pattern of SrAl2GaCu4. It was derived from DFT lattice parameters and positions (GGA-PBE), using Cu Kα.
No peak broadening, texture or thermal motion is included.

Structural model:
```
SrAl2GaCu4
1.0
2.0923 1.2080 9.2150
-2.0923 1.2080 9.2150
0.0000 -2.4160 9.2150
Sr Al Ga Cu
1 2 1 4
direct
0.0000 0.0000 0.0000 Sr
0.2388 0.2388 0.2388 Al
0.7612 0.7612 0.7612 Al
0.5000 0.5000 0.5000 Ga
0.1323 0.1323 0.1323 Cu
0.4121 0.4121 0.4121 Cu
0.5879 0.5879 0.5879 Cu
0.8677 0.8677 0.8677 Cu
```

The 12 most intense peaks (10 to 90 degrees two-theta), in order of rising 2θ:
25.41°, intensity 43
33.56°, intensity 40
35.91°, intensity 62
41.07°, intensity 12
43.24°, intensity 100
43.84°, intensity 34
52.80°, intensity 12
57.42°, intensity 15
59.70°, intensity 14
63.27°, intensity 10
74.52°, intensity 14
79.31°, intensity 15